Entry 1:
Diffraction record for Cs2LiReO4. The XRD peak list is calculated, not measured: it uses a structure optimized by DFT (PBE) and Cu Kα (weighted mean of Kα1 and Kα2).
Lines closer than 0.1° are merged.

Largest 10 diffraction maxima, in order of rising 2θ, 2θ from 10° to 90°:
two_theta  Rel. int.
21.35  100
27.42  54
28.93  30
29.66  57
36.22  22
39.73  21
40.82  23
41.91  14
50.81  23
56.14  18

Cell and atoms:
```
data_Cs2LiReO4
_chemical_formula_sum 'Cs4 Li2 Re2 O8'
_cell_length_a 13.0346
_cell_length_b 11.7953
_cell_length_c 6.7408
_cell_angle_alpha 84.71
_cell_angle_beta 64.30
_cell_angle_gamma 30.99
_space_group_name_H-M_alt 'P 1'
_space_group_IT_number 1
loop_
_space_group_symop_operation_xyz
'x,y,z'
loop_
_atom_site_label
_atom_site_type_symbol
_atom_site_fract_x
_atom_site_fract_y
_atom_site_fract_z
Cs1 Cs 0.0411 0.0411 0.7089
Cs2 Cs 0.2911 0.2911 0.9589
Cs3 Cs 0.7089 0.7089 0.0411
Cs4 Cs 0.9589 0.9589 0.2911
Li1 Li 0.1250 0.1250 0.1250
Li2 Li 0.8750 0.8750 0.8750
Re1 Re 0.3750 0.3750 0.3750
Re2 Re 0.6250 0.6250 0.6250
O1 O 0.0444 0.5994 0.6187
O2 O 0.2375 0.6187 0.5994
O3 O 0.3813 0.7625 0.9556
O4 O 0.4006 0.9556 0.7625
O5 O 0.5994 0.0444 0.2375
O6 O 0.6187 0.2375 0.0444
O7 O 0.7625 0.3813 0.4006
O8 O 0.9556 0.4006 0.3813
```

Entry 2:
Diffraction record for Np2CdAs4. The XRD peak list is calculated, not measured: it uses a structure optimized by DFT (PBE) and Cu Kα (weighted mean of Kα1 and Kα2).
Lines closer than 0.1° are merged.

Largest 10 diffraction maxima, in order of rising 2θ, 2θ from 10° to 90°:
two_theta  Rel. int.
17.05  18
24.27  47
28.52  27
34.52  38
36.75  100
41.69  28
46.33  31
59.04  24
64.07  14
79.50  22

Cell and atoms:
```
data_Np2CdAs4
_chemical_formula_sum 'Np2 Cd1 As4'
_cell_length_a 3.9191
_cell_length_b 3.9191
_cell_length_c 10.4009
_cell_angle_alpha 90.00
_cell_angle_beta 90.00
_cell_angle_gamma 90.00
_space_group_name_H-M_alt 'P 1'
_space_group_IT_number 1
loop_
_space_group_symop_operation_xyz
'x,y,z'
loop_
_atom_site_label
_atom_site_type_symbol
_atom_site_fract_x
_atom_site_fract_y
_atom_site_fract_z
Np1 Np 0.0000 0.5000 0.2200
Np2 Np 0.5000 0.0000 0.7800
Cd1 Cd 0.0000 0.0000 0.5000
As1 As 0.0000 0.0000 0.0000
As2 As 0.0000 0.5000 0.6889
As3 As 0.5000 0.0000 0.3111
As4 As 0.5000 0.5000 0.0000
```

Entry 3:
Diffraction record for Tb3PmIr. The XRD peak list is calculated, not measured: it uses a structure optimized by DFT (PBE) and Cu Kα (weighted mean of Kα1 and Kα2).
Lines closer than 0.1° are merged.

Largest 10 diffraction maxima, in order of rising 2θ, 2θ from 10° to 90°:
two_theta  Rel. int.
18.29  19
22.78  27
28.55  19
30.51  100
30.71  47
39.61  43
39.77  21
47.32  24
47.76  31
51.80  23

Cell and atoms:
```
data_Tb3PmIr
_chemical_formula_sum 'Tb6 Pm2 Ir2'
_cell_length_a 7.6806
_cell_length_b 6.5796
_cell_length_c 6.2533
_cell_angle_alpha 90.00
_cell_angle_beta 90.00
_cell_angle_gamma 90.00
_space_group_name_H-M_alt 'P 1'
_space_group_IT_number 1
loop_
_space_group_symop_operation_xyz
'x,y,z'
loop_
_atom_site_label
_atom_site_type_symbol
_atom_site_fract_x
_atom_site_fract_y
_atom_site_fract_z
Tb1 Tb 0.0000 0.1539 0.0000
Tb2 Tb 0.2489 0.6822 0.0056
Tb3 Tb 0.2511 0.3178 0.5056
Tb4 Tb 0.5000 0.8461 0.5000
Tb5 Tb 0.7489 0.3178 0.5056
Tb6 Tb 0.7511 0.6822 0.0056
Pm1 Pm 0.0000 0.8516 0.5099
Pm2 Pm 0.5000 0.1484 0.0099
Ir1 Ir 0.0000 0.4960 0.2545
Ir2 Ir 0.5000 0.5040 0.7545
```

Entry 4:
Diffraction record for CoP2RuN. The XRD peak list is calculated, not measured: it uses a structure optimized by DFT (PBE) and Cu Kα (weighted mean of Kα1 and Kα2).
Lines closer than 0.1° are merged.

Largest 10 diffraction maxima, in order of rising 2θ, 2θ from 10° to 90°:
two_theta  Rel. int.
13.99  51
28.20  18
31.93  50
34.18  100
37.88  21
43.90  74
47.88  28
50.84  40
54.81  20
64.87  24

Cell and atoms:
```
data_CoP2RuN
_chemical_formula_sum 'Co2 P4 Ru2 N2'
_cell_length_a 2.8742
_cell_length_b 3.3496
_cell_length_c 12.6582
_cell_angle_alpha 90.00
_cell_angle_beta 90.00
_cell_angle_gamma 90.00
_space_group_name_H-M_alt 'P 1'
_space_group_IT_number 1
loop_
_space_group_symop_operation_xyz
'x,y,z'
loop_
_atom_site_label
_atom_site_type_symbol
_atom_site_fract_x
_atom_site_fract_y
_atom_site_fract_z
Co1 Co 0.0000 0.0000 0.0000
Co2 Co 0.5000 0.5000 0.5000
P1 P 0.0000 0.0000 0.3277
P2 P 0.0000 0.5000 0.6203
P3 P 0.5000 0.0000 0.1203
P4 P 0.5000 0.5000 0.8277
Ru1 Ru 0.0000 0.5000 0.1966
Ru2 Ru 0.5000 0.0000 0.6966
N1 N 0.0000 0.5000 0.9094
N2 N 0.5000 0.0000 0.4094
```

Entry 5:
Diffraction record for LiTeI3. The XRD peak list is calculated, not measured: it uses a structure optimized by DFT (PBE) and Cu Kα (weighted mean of Kα1 and Kα2).
Lines closer than 0.1° are merged.

Largest 10 diffraction maxima, in order of rising 2θ, 2θ from 10° to 90°:
two_theta  Rel. int.
10.23  24
23.96  100
25.68  26
26.23  21
28.33  30
29.41  23
29.69  93
33.73  17
36.96  23
41.75  25

Cell and atoms:
```
data_LiTeI3
_chemical_formula_sum 'Li2 Te2 I6'
_cell_length_a 4.3277
_cell_length_b 9.5626
_cell_length_c 10.1934
_cell_angle_alpha 111.41
_cell_angle_beta 90.02
_cell_angle_gamma 102.88
_space_group_name_H-M_alt 'P 1'
_space_group_IT_number 1
loop_
_space_group_symop_operation_xyz
'x,y,z'
loop_
_atom_site_label
_atom_site_type_symbol
_atom_site_fract_x
_atom_site_fract_y
_atom_site_fract_z
Li1 Li 0.1742 0.3471 0.4862
Li2 Li 0.8258 0.6529 0.5138
Te1 Te 0.2106 0.4203 0.8859
Te2 Te 0.7894 0.5797 0.1141
I1 I 0.0731 0.1405 0.9311
I2 I 0.3210 0.6440 0.7015
I3 I 0.3838 0.7707 0.3750
I4 I 0.6162 0.2293 0.6250
I5 I 0.6790 0.3560 0.2985
I6 I 0.9269 0.8595 0.0689
```

Entry 6:
Diffraction record for TmCoNiSn. The XRD peak list is calculated, not measured: it uses a structure optimized by DFT (PBE) and Cu Kα (weighted mean of Kα1 and Kα2).
Lines closer than 0.1° are merged.

Largest 10 diffraction maxima, in order of rising 2θ, 2θ from 10° to 90°:
two_theta  Rel. int.
24.08  3
27.88  19
39.83  100
47.09  1
49.32  6
57.60  17
63.34  1
65.18  8
72.32  34
85.89  11

Cell and atoms:
```
data_TmCoNiSn
_chemical_formula_sum 'Tm4 Co4 Ni4 Sn4'
_cell_length_a 6.4007
_cell_length_b 6.4007
_cell_length_c 6.4007
_cell_angle_alpha 90.00
_cell_angle_beta 90.00
_cell_angle_gamma 90.00
_space_group_name_H-M_alt 'P 1'
_space_group_IT_number 1
loop_
_space_group_symop_operation_xyz
'x,y,z'
loop_
_atom_site_label
_atom_site_type_symbol
_atom_site_fract_x
_atom_site_fract_y
_atom_site_fract_z
Tm1 Tm 0.0000 0.0000 0.0000
Tm2 Tm 0.0000 0.5000 0.5000
Tm3 Tm 0.5000 0.0000 0.5000
Tm4 Tm 0.5000 0.5000 0.0000
Co1 Co 0.2500 0.2500 0.2500
Co2 Co 0.2500 0.7500 0.7500
Co3 Co 0.7500 0.2500 0.7500
Co4 Co 0.7500 0.7500 0.2500
Ni1 Ni 0.2500 0.2500 0.7500
Ni2 Ni 0.2500 0.7500 0.2500
Ni3 Ni 0.7500 0.2500 0.2500
Ni4 Ni 0.7500 0.7500 0.7500
Sn1 Sn 0.0000 0.0000 0.5000
Sn2 Sn 0.0000 0.5000 0.0000
Sn3 Sn 0.5000 0.0000 0.0000
Sn4 Sn 0.5000 0.5000 0.5000
```

Question: Which formula does entry 5 have?
Answer: LiTeI3